Starting from a cell relaxed with GGA-PBE, the X-ray diffraction stick pattern of Rb4B9S9 was calculated for Cu Kα X-rays.
Kinematic intensities with the Lorentz-polarization factor, no thermal factor.

Main lines, most intense first (10° ≤ 2θ ≤ 90°):
- 27.66°, I 100.0
- 26.08°, I 95.6
- 33.85°, I 94.8
- 18.69°, I 76.8
- 30.15°, I 76.1
- 29.73°, I 73.5
- 19.45°, I 73.3
- 31.51°, I 70.4
- 27.94°, I 65.8
- 28.27°, I 59.7

Structural model:
Cell lengths 10.216, 10.409, 10.902 Å; angles 91.83, 105.54, 110.22 degrees
Space group P-1 (No. 2)
Asymmetric unit:
Rb  0.120  0.381  0.130 (multiplicity 2)
Rb  0.145  0.007  0.370 (multiplicity 2)
Rb  0.243  0.623  0.473 (multiplicity 2)
Rb  0.306  0.380  0.760 (multiplicity 2)
B  0.131  0.818  0.686 (multiplicity 2)
B  0.170  0.767  0.142 (multiplicity 2)
B  0.332  0.967  0.016 (multiplicity 2)
B  0.365  0.856  0.912 (multiplicity 2)
B  0.373  0.022  0.872 (multiplicity 2)
B  0.435  0.265  0.247 (multiplicity 2)
B  0.437  0.867  0.082 (multiplicity 2)
B  0.453  0.140  0.020 (multiplicity 2)
B  0.492  0.043  0.147 (multiplicity 2)
S  0.023  0.259  0.451 (multiplicity 2)
S  0.027  0.664  0.200 (multiplicity 2)
S  0.153  0.910  0.050 (multiplicity 2)
S  0.209  0.714  0.797 (multiplicity 2)
S  0.222  0.010  0.725 (multiplicity 2)
S  0.340  0.731  0.169 (multiplicity 2)
S  0.412  0.290  0.075 (multiplicity 2)
S  0.422  0.384  0.358 (multiplicity 2)
S  0.477  0.113  0.300 (multiplicity 2)



Starting from a cell relaxed with GGA-PBE, the X-ray diffraction stick pattern of RbSc2B2S6 was calculated for Cu Kα X-rays.
Kinematic intensities with the Lorentz-polarization factor, no thermal factor.

Main lines, most intense first (10° ≤ 2θ ≤ 90°):
- 11.94°, I 100.0
- 17.32°, I 62.7
- 29.08°, I 61.6
- 28.30°, I 59.4
- 38.31°, I 54.7
- 26.17°, I 45.0
- 18.96°, I 35.0
- 21.15°, I 34.3
- 39.85°, I 32.2
- 14.43°, I 26.7

Structural model:
Cell lengths 6.620, 7.139, 7.743 Å; angles 101.37, 95.67, 116.72 degrees
Space group P-1 (No. 2)
Asymmetric unit:
Rb  0.000  0.000  0.000 (multiplicity 1)
Sc  0.415  0.724  0.443 (multiplicity 2)
B  0.047  0.772  0.489 (multiplicity 2)
S  0.062  0.685  0.257 (multiplicity 2)
S  0.231  0.318  0.436 (multiplicity 2)
S  0.312  0.948  0.672 (multiplicity 2)



Which formula does entry 1 have?
Rb4B9S9



Please write out number 1 again, unchanged.
Starting from a cell relaxed with GGA-PBE, the X-ray diffraction stick pattern of Rb4B9S9 was calculated for Cu Kα X-rays.
Kinematic intensities with the Lorentz-polarization factor, no thermal factor.

Main lines, most intense first (10° ≤ 2θ ≤ 90°):
- 27.66°, I 100.0
- 26.08°, I 95.6
- 33.85°, I 94.8
- 18.69°, I 76.8
- 30.15°, I 76.1
- 29.73°, I 73.5
- 19.45°, I 73.3
- 31.51°, I 70.4
- 27.94°, I 65.8
- 28.27°, I 59.7

Structural model:
Cell lengths 10.216, 10.409, 10.902 Å; angles 91.83, 105.54, 110.22 degrees
Space group P-1 (No. 2)
Asymmetric unit:
Rb  0.120  0.381  0.130 (multiplicity 2)
Rb  0.145  0.007  0.370 (multiplicity 2)
Rb  0.243  0.623  0.473 (multiplicity 2)
Rb  0.306  0.380  0.760 (multiplicity 2)
B  0.131  0.818  0.686 (multiplicity 2)
B  0.170  0.767  0.142 (multiplicity 2)
B  0.332  0.967  0.016 (multiplicity 2)
B  0.365  0.856  0.912 (multiplicity 2)
B  0.373  0.022  0.872 (multiplicity 2)
B  0.435  0.265  0.247 (multiplicity 2)
B  0.437  0.867  0.082 (multiplicity 2)
B  0.453  0.140  0.020 (multiplicity 2)
B  0.492  0.043  0.147 (multiplicity 2)
S  0.023  0.259  0.451 (multiplicity 2)
S  0.027  0.664  0.200 (multiplicity 2)
S  0.153  0.910  0.050 (multiplicity 2)
S  0.209  0.714  0.797 (multiplicity 2)
S  0.222  0.010  0.725 (multiplicity 2)
S  0.340  0.731  0.169 (multiplicity 2)
S  0.412  0.290  0.075 (multiplicity 2)
S  0.422  0.384  0.358 (multiplicity 2)
S  0.477  0.113  0.300 (multiplicity 2)



Repeat the first record exactly.
Starting from a cell relaxed with GGA-PBE, the X-ray diffraction stick pattern of Rb4B9S9 was calculated for Cu Kα X-rays.
Kinematic intensities with the Lorentz-polarization factor, no thermal factor.

Main lines, most intense first (10° ≤ 2θ ≤ 90°):
- 27.66°, I 100.0
- 26.08°, I 95.6
- 33.85°, I 94.8
- 18.69°, I 76.8
- 30.15°, I 76.1
- 29.73°, I 73.5
- 19.45°, I 73.3
- 31.51°, I 70.4
- 27.94°, I 65.8
- 28.27°, I 59.7

Structural model:
Cell lengths 10.216, 10.409, 10.902 Å; angles 91.83, 105.54, 110.22 degrees
Space group P-1 (No. 2)
Asymmetric unit:
Rb  0.120  0.381  0.130 (multiplicity 2)
Rb  0.145  0.007  0.370 (multiplicity 2)
Rb  0.243  0.623  0.473 (multiplicity 2)
Rb  0.306  0.380  0.760 (multiplicity 2)
B  0.131  0.818  0.686 (multiplicity 2)
B  0.170  0.767  0.142 (multiplicity 2)
B  0.332  0.967  0.016 (multiplicity 2)
B  0.365  0.856  0.912 (multiplicity 2)
B  0.373  0.022  0.872 (multiplicity 2)
B  0.435  0.265  0.247 (multiplicity 2)
B  0.437  0.867  0.082 (multiplicity 2)
B  0.453  0.140  0.020 (multiplicity 2)
B  0.492  0.043  0.147 (multiplicity 2)
S  0.023  0.259  0.451 (multiplicity 2)
S  0.027  0.664  0.200 (multiplicity 2)
S  0.153  0.910  0.050 (multiplicity 2)
S  0.209  0.714  0.797 (multiplicity 2)
S  0.222  0.010  0.725 (multiplicity 2)
S  0.340  0.731  0.169 (multiplicity 2)
S  0.412  0.290  0.075 (multiplicity 2)
S  0.422  0.384  0.358 (multiplicity 2)
S  0.477  0.113  0.300 (multiplicity 2)